Record 1
Structure and calculated XRD peak list of KNaH4Pd (a GGA-PBE-relaxed structure; a wavelength of 1.5418 Å).

Crystal structure
Cell: 5.5348 5.5348 7.0570 Å, 90.00 90.00 90.00°
Space group I-4m2 (No. 119)
Symmetry-distinct sites (fractional):
K: 0.0000 0.0000 0.0000 (multiplicity 2)
Na: 0.0000 0.0000 0.5000 (multiplicity 2)
H: 0.2120 0.2880 0.2500 (multiplicity 8)
Pd: 0.0000 0.5000 0.2500 (multiplicity 2)

Top 8 peaks for 10° ≤ 2θ ≤ 80°, sorted by position:
| d/Å | intensity | index |
| --- | --- | --- |
| 4.355 | 100 | 1 0 1 |
| 2.767 | 35 | 2 0 0 |
| 2.621 | 64 | 1 1 2 |
| 2.336 | 36 | 2 1 1 |
| 2.165 | 15 | 1 0 3 |
| 1.957 | 14 | 2 2 0 |
| 1.705 | 14 | 2 1 3 |
| 1.568 | 25 | 3 1 2 |

Record 2
Structure and calculated XRD peak list of LaNd2IrPd2Pb3 (a GGA-PBE-relaxed structure; a wavelength of 1.5418 Å).

Crystal structure
Cell: 4.0742 13.6556 7.8833 Å, 90.00 90.00 90.00°
Space group Amm2 (No. 38)
Symmetry-distinct sites (fractional):
La: 0.0000 0.0000 0.0000 (multiplicity 2)
Nd: 0.0000 0.2009 0.6043 (multiplicity 4)
Ir: 0.0000 0.0000 0.4034 (multiplicity 2)
Pd: 0.5000 0.1669 0.9037 (multiplicity 4)
Pb: 0.5000 0.0000 0.6586 (multiplicity 2)
Pb: 0.5000 0.1297 0.2762 (multiplicity 4)

Top 8 peaks for 10° ≤ 2θ ≤ 80°, sorted by position:
| d/Å | intensity | index |
| --- | --- | --- |
| 2.833 | 100 | 1 3 1 |
| 2.617 | 84 | 1 2 2 |
| 2.581 | 52 | 0 1 3 |
| 2.276 | 40 | 0 6 0 |
| 2.180 | 45 | 1 4 2 |
| 2.037 | 26 | 2 0 0 |
| 1.599 | 25 | 2 1 3 |
| 1.462 | 39 | 1 7 3 |

Record 3
Structure and calculated XRD peak list of Nb3GaO9 (a GGA-PBE-relaxed structure; a wavelength of 1.5418 Å).

Crystal structure
Cell: 4.8744 7.5065 8.7149 Å, 90.00 90.07 90.00°
Space group P2_1 (No. 4)
Symmetry-distinct sites (fractional):
Nb: 0.0078 0.0000 0.3091 (multiplicity 2)
Nb: 0.0106 0.0005 0.6908 (multiplicity 2)
Nb: 0.4901 0.4245 0.0002 (multiplicity 2)
Ga: 0.4711 0.2406 0.4990 (multiplicity 2)
O: 0.1973 0.2310 0.3404 (multiplicity 2)
O: 0.1996 0.2311 0.6585 (multiplicity 2)
O: 0.2413 0.9063 0.4987 (multiplicity 2)
O: 0.2418 0.5432 0.1574 (multiplicity 2)
O: 0.2525 0.8909 0.1726 (multiplicity 2)
O: 0.2557 0.5441 0.8368 (multiplicity 2)
O: 0.2613 0.5484 0.4988 (multiplicity 2)
O: 0.2665 0.8903 0.8206 (multiplicity 2)
O: 0.3352 0.2069 0.9976 (multiplicity 2)

Top 8 peaks for 10° ≤ 2θ ≤ 80°, sorted by position:
| d/Å | intensity | index |
| --- | --- | --- |
| 4.254 | 23 | 1 0 -1 |
| 3.753 | 28 | 0 2 0 |
| 3.249 | 100 | 1 0 2 |
| 2.974 | 36 | 1 2 0 |
| 2.844 | 18 | 0 2 2 |
| 2.814 | 53 | 1 2 -1 |
| 1.672 | 40 | 2 2 -3 |
| 1.504 | 18 | 1 2 -5 |

Record 4
Structure and calculated XRD peak list of TbNb2Sb3 (a GGA-PBE-relaxed structure; a wavelength of 1.5418 Å).

Crystal structure
Cell: 4.7645 4.7645 7.2101 Å, 90.00 90.00 120.00°
Space group P-3m1 (No. 164)
Symmetry-distinct sites (fractional):
Tb: 0.0000 0.0000 0.0000 (multiplicity 1)
Nb: 0.3333 0.6667 0.6093 (multiplicity 2)
Sb: 0.0000 0.0000 0.5000 (multiplicity 1)
Sb: 0.3333 0.6667 0.2179 (multiplicity 2)

Top 8 peaks for 10° ≤ 2θ ≤ 80°, sorted by position:
| d/Å | intensity | index |
| --- | --- | --- |
| 3.581 | 18 | 0 1 1 |
| 2.715 | 100 | 0 1 2 |
| 2.382 | 89 | 1 1 0 |
| 2.077 | 24 | 1 0 3 |
| 1.791 | 29 | 2 0 2 |
| 1.431 | 27 | 1 2 2 |
| 1.375 | 15 | 3 0 0 |
| 1.308 | 11 | 2 1 3 |